# 1
Li2BiS3: theoretical powder XRD pattern (Cu Kα (λ = 1.5418 Å)), based on a cell relaxed with PBE.

Principal peaks in the range 10° ≤ 2θ ≤ 90°, most intense first:
2θ/deg, Rel. int., h k l
14.70, 100, 0 1 0
17.62, 80, 1 0 0
26.22, 52, 0 1 -2
29.04, 52, 0 1 2
18.43, 50, 1 -1 0
23.30, 32, 0 0 2
33.24, 25, 2 -1 0
32.06, 24, 1 1 -2
29.66, 24, 0 2 0
53.90, 22, 2 0 -4

Atomic structure:
Lattice parameters (Å, degrees): 5.4895 6.4689 7.8104 92.24 100.40 110.43
Space group P-1 (No. 2)
Unique sites:
Li1 0.1049 0.4376 0.1894 (multiplicity 2)
Li2 0.1421 0.2568 0.5511 (multiplicity 2)
Bi1 0.4619 0.0267 0.2471 (multiplicity 2)
S1 0.0346 0.9406 0.7490 (multiplicity 2)
S2 0.3505 0.6956 0.4541 (multiplicity 2)
S3 0.3737 0.5892 0.9714 (multiplicity 2)



# 2
Ba6Nb2IrCl2O12: theoretical powder XRD pattern (Cu Kα (λ = 1.5418 Å)), based on a cell relaxed with PBE.

Principal peaks in the range 10° ≤ 2θ ≤ 90°, most intense first:
2θ/deg, Rel. int., h k l
29.55, 100, 1 1 0
29.31, 51, 0 1 4
24.63, 36, 1 0 3
17.95, 33, 0 1 1
42.12, 29, 2 0 4
52.31, 28, 1 2 4
38.84, 26, 0 2 3
42.47, 22, 1 1 5
52.43, 20, 3 0 0
61.34, 17, 2 2 0

Atomic structure:
Lattice parameters (Å, degrees): 6.0453 6.0453 14.9888 90.00 90.00 120.00
Space group P-3m1 (No. 164)
Unique sites:
Ba1 0.3333 0.6667 0.0729 (multiplicity 2)
Ba2 0.3333 0.6667 0.3658 (multiplicity 2)
Ba3 0.3333 0.6667 0.7920 (multiplicity 2)
Nb1 0.0000 0.0000 0.1868 (multiplicity 2)
Ir1 0.0000 0.0000 0.0000 (multiplicity 1)
Cl1 0.3333 0.6667 0.5800 (multiplicity 2)
O1 0.1540 0.3080 0.9171 (multiplicity 6)
O2 0.1623 0.3247 0.2432 (multiplicity 6)



# 3
Mg7Si2H6O14: theoretical powder XRD pattern (Cu Kα (λ = 1.5418 Å)), based on a cell relaxed with PBE.

Principal peaks in the range 10° ≤ 2θ ≤ 90°, most intense first:
2θ/deg, Rel. int., h k l
39.25, 100, 1 2 2
61.60, 56, 4 1 0
31.87, 56, 2 0 2
44.70, 38, 1 2 3
59.52, 35, 1 2 5
24.16, 30, 1 1 1
22.31, 23, 1 1 0
35.84, 17, 1 1 3
51.56, 15, 1 2 4
30.62, 12, 1 0 3

Atomic structure:
Lattice parameters (Å, degrees): 7.9681 7.9681 9.6660 90.00 90.00 120.00
Space group P6_3 (No. 173)
Unique sites:
Mg1 0.0184 0.7743 0.0000 (multiplicity 6)
Mg2 0.0834 0.6306 0.2747 (multiplicity 6)
Mg3 0.3333 0.6667 0.9891 (multiplicity 2)
Si1 0.0000 0.0000 0.2887 (multiplicity 2)
Si2 0.3333 0.6667 0.5610 (multiplicity 2)
H1 0.0343 0.3563 0.1260 (multiplicity 6)
H2 0.1640 0.7073 0.7919 (multiplicity 6)
O1 0.0000 0.0000 0.1195 (multiplicity 2)
O2 0.0276 0.8276 0.3639 (multiplicity 6)
O3 0.0970 0.6211 0.8708 (multiplicity 6)
O4 0.1596 0.4541 0.6195 (multiplicity 6)
O5 0.1751 0.4371 0.1257 (multiplicity 6)
O6 0.3333 0.6667 0.3869 (multiplicity 2)



# 4
SiO2: theoretical powder XRD pattern (Cu Kα (λ = 1.5418 Å)), based on a cell relaxed with PBE.

Principal peaks in the range 10° ≤ 2θ ≤ 90°, most intense first:
2θ/deg, Rel. int., h k l
10.93, 100, 0 1 -1
15.59, 20, 0 2 0
15.37, 17, 0 0 2
32.07, 17, 1 0 0
28.02, 13, 0 2 3
28.19, 13, 0 3 -2
24.46, 11, 0 1 -3
24.72, 10, 0 3 1
17.39, 6, 0 2 1
17.25, 6, 0 1 -2

Atomic structure:
Lattice parameters (Å, degrees): 2.8308 11.4420 11.6086 89.16 83.22 83.46
Space group P-1 (No. 2)
Unique sites:
Si1 0.0511 0.1955 0.1947 (multiplicity 2)
Si2 0.1403 0.5779 0.6477 (multiplicity 2)
Si3 0.1968 0.1514 0.9251 (multiplicity 2)
Si4 0.2358 0.3041 0.6940 (multiplicity 2)
O1 0.0482 0.6711 0.7541 (multiplicity 2)
O2 0.0994 0.2102 0.0506 (multiplicity 2)
O3 0.1756 0.4456 0.7007 (multiplicity 2)
O4 0.1882 0.2579 0.8311 (multiplicity 2)
O5 0.2148 0.7378 0.3681 (multiplicity 2)
O6 0.2734 0.9246 0.0922 (multiplicity 2)
O7 0.3328 0.4032 0.4253 (multiplicity 2)
O8 0.4393 0.8680 0.7647 (multiplicity 2)